(1)
Theoretical X-ray diffraction stick pattern
Compound: PrNd5Er5
Radiation: Cu Kα (λ = 1.5418 Å)
Structure: a DFT-relaxed cell (PBE, Alexandria)

Structural model:
a = 18.992 Å, b = 6.008 Å, c = 7.046 Å
α = 90.00°, β = 111.46°, γ = 90.00°
Space group C2/m (No. 12)
Unique sites:
Pr1 0.000 0.000 0.000 (multiplicity 2)
Nd1 0.000 0.500 0.000 (multiplicity 2)
Nd2 0.177 0.000 0.422 (multiplicity 4)
Nd3 0.177 0.000 0.933 (multiplicity 4)
Er1 0.000 0.000 0.500 (multiplicity 2)
Er2 0.123 0.500 0.625 (multiplicity 4)
Er3 0.170 0.500 0.171 (multiplicity 4)

Largest 8 diffraction maxima, in order of rising 2θ, 15° ≤ 2θ ≤ 90°:
| d/Å | intensity |
| --- | --- |
| 3.047 | 27 |
| 3.003 | 100 |
| 2.946 | 48 |
| 2.706 | 76 |
| 2.696 | 74 |
| 2.103 | 37 |
| 1.670 | 36 |
| 1.520 | 22 |

(2)
Theoretical X-ray diffraction stick pattern
Compound: Sr2Fe
Radiation: Cu Kα (λ = 1.5418 Å)
Structure: a DFT-relaxed cell (PBE, Alexandria)

Structural model:
a = 9.143 Å, b = 4.059 Å, c = 11.312 Å
α = 90.00°, β = 90.00°, γ = 90.00°
Space group Pnma (No. 62)
Unique sites:
Sr1 0.018 0.250 0.174 (multiplicity 4)
Sr2 0.164 0.750 0.446 (multiplicity 4)
Fe1 0.185 0.250 0.671 (multiplicity 4)

Largest 8 diffraction maxima, in order of rising 2θ, 15° ≤ 2θ ≤ 90°:
| d/Å | intensity |
| --- | --- |
| 3.486 | 35 |
| 3.102 | 100 |
| 2.943 | 66 |
| 2.932 | 96 |
| 2.702 | 43 |
| 2.674 | 42 |
| 2.645 | 32 |
| 2.029 | 38 |

(3)
Theoretical X-ray diffraction stick pattern
Compound: Na4NiRh3Se8
Radiation: Cu Kα (λ = 1.5418 Å)
Structure: a DFT-relaxed cell (PBE, Alexandria)

Structural model:
a = 7.5882 Å, b = 7.5882 Å, c = 20.0016 Å
α = 90.00°, β = 90.00°, γ = 120.00°
Space group R-3m (No. 166, hexagonal axes)
Unique sites:
Na1 0.0000 0.0000 0.0000 (multiplicity 3)
Na2 0.0000 0.5000 0.0000 (multiplicity 9)
Ni1 0.0000 0.0000 0.5000 (multiplicity 3)
Rh1 0.0000 0.5000 0.5000 (multiplicity 9)
Se1 0.0000 0.0000 0.2297 (multiplicity 6)
Se2 0.0043 0.5021 0.2289 (multiplicity 18)

Largest 8 diffraction maxima, in order of rising 2θ, 15° ≤ 2θ ≤ 90°:
| d/Å | intensity |
| --- | --- |
| 2.746 | 100 |
| 2.156 | 29 |
| 1.990 | 23 |
| 1.897 | 39 |
| 1.825 | 15 |
| 1.591 | 15 |
| 1.561 | 17 |
| 1.205 | 14 |

(4)
Theoretical X-ray diffraction stick pattern
Compound: PrBe2AsO8
Radiation: Cu Kα (λ = 1.5418 Å)
Structure: a DFT-relaxed cell (PBE, Alexandria)

Structural model:
a = 4.6968 Å, b = 4.6968 Å, c = 6.8269 Å
α = 90.00°, β = 90.00°, γ = 120.00°
Space group P-3 (No. 147)
Unique sites:
Pr1 0.0000 0.0000 0.0000 (multiplicity 1)
Be1 0.3333 0.6667 0.7277 (multiplicity 2)
As1 0.0000 0.0000 0.5000 (multiplicity 1)
O1 0.0314 0.3163 0.6695 (multiplicity 6)
O2 0.3333 0.6667 0.9685 (multiplicity 2)

Largest 8 diffraction maxima, in order of rising 2θ, 15° ≤ 2θ ≤ 90°:
| d/Å | intensity |
| --- | --- |
| 4.068 | 100 |
| 3.413 | 17 |
| 2.615 | 61 |
| 2.348 | 26 |
| 2.221 | 17 |
| 1.935 | 43 |
| 1.747 | 22 |
| 1.402 | 20 |

(5)
Theoretical X-ray diffraction stick pattern
Compound: PrNd4Y
Radiation: Cu Kα (λ = 1.5418 Å)
Structure: a DFT-relaxed cell (PBE, Alexandria)

Structural model:
a = 5.176 Å, b = 3.676 Å, c = 11.026 Å
α = 90.00°, β = 90.05°, γ = 90.00°
Space group P2/m (No. 10)
Unique sites:
Pr1 0.000 0.000 0.000 (multiplicity 1)
Nd1 0.000 0.000 0.335 (multiplicity 2)
Nd2 0.500 0.500 0.169 (multiplicity 2)
Y1 0.500 0.500 0.500 (multiplicity 1)

Largest 8 diffraction maxima, in order of rising 2θ, 15° ≤ 2θ ≤ 90°:
| d/Å | intensity |
| --- | --- |
| 2.997 | 100 |
| 2.599 | 34 |
| 2.588 | 17 |
| 1.838 | 12 |
| 1.834 | 24 |
| 1.567 | 29 |
| 1.562 | 14 |
| 1.498 | 12 |

(6)
Theoretical X-ray diffraction stick pattern
Compound: Sc2Pd3Au6
Radiation: Cu Kα (λ = 1.5418 Å)
Structure: a DFT-relaxed cell (PBE, Alexandria)

Structural model:
a = 3.821 Å, b = 3.821 Å, c = 29.281 Å
α = 90.00°, β = 90.00°, γ = 90.00°
Space group I4/mmm (No. 139)
Unique sites:
Sc1 0.000 0.000 0.172 (multiplicity 4)
Pd1 0.000 0.000 0.361 (multiplicity 4)
Pd2 0.000 0.000 0.500 (multiplicity 2)
Au1 0.000 0.000 0.270 (multiplicity 4)
Au2 0.000 0.500 0.070 (multiplicity 8)

Largest 8 diffraction maxima, in order of rising 2θ, 15° ≤ 2θ ≤ 90°:
| d/Å | intensity |
| --- | --- |
| 4.880 | 62 |
| 2.657 | 98 |
| 2.477 | 31 |
| 2.364 | 46 |
| 2.174 | 100 |
| 1.911 | 63 |
| 1.194 | 23 |
| 1.148 | 27 |

(7)
Theoretical X-ray diffraction stick pattern
Compound: Ba10Ag4Au
Radiation: Cu Kα (λ = 1.5418 Å)
Structure: a DFT-relaxed cell (PBE, Alexandria)

Structural model:
a = 5.7841 Å, b = 5.7841 Å, c = 70.7293 Å
α = 90.00°, β = 90.00°, γ = 120.00°
Space group R-3m (No. 166, hexagonal axes)
Unique sites:
Ba1 0.0000 0.0000 0.0480 (multiplicity 6)
Ba2 0.0000 0.0000 0.1498 (multiplicity 6)
Ba3 0.0000 0.0000 0.2509 (multiplicity 6)
Ba4 0.0000 0.0000 0.3485 (multiplicity 6)
Ba5 0.0000 0.0000 0.4494 (multiplicity 6)
Ag1 0.0000 0.0000 0.2004 (multiplicity 6)
Ag2 0.0000 0.0000 0.3989 (multiplicity 6)
Au1 0.0000 0.0000 0.0000 (multiplicity 3)

Largest 8 diffraction maxima, in order of rising 2θ, 15° ≤ 2θ ≤ 90°:
| d/Å | intensity |
| --- | --- |
| 4.720 | 25 |
| 4.088 | 14 |
| 2.891 | 100 |
| 2.465 | 14 |
| 2.044 | 18 |
| 1.669 | 38 |
| 1.293 | 16 |
| 1.093 | 15 |

(8)
Theoretical X-ray diffraction stick pattern
Compound: TbGa12Cu6
Radiation: Cu Kα (λ = 1.5418 Å)
Structure: a DFT-relaxed cell (PBE, Alexandria)

Structural model:
a = 11.2814 Å, b = 11.2814 Å, c = 8.7123 Å
α = 90.00°, β = 90.00°, γ = 120.00°
Space group R-3m (No. 166, hexagonal axes)
Unique sites:
Tb1 0.0000 0.0000 0.0000 (multiplicity 3)
Ga1 0.0000 0.3875 0.5000 (multiplicity 18)
Ga2 0.0840 0.1679 0.3098 (multiplicity 18)
Cu1 0.0502 0.5251 0.2364 (multiplicity 18)

Largest 8 diffraction maxima, in order of rising 2θ, 15° ≤ 2θ ≤ 90°:
| d/Å | intensity |
| --- | --- |
| 3.400 | 17 |
| 2.818 | 14 |
| 2.585 | 100 |
| 2.301 | 14 |
| 2.169 | 39 |
| 1.991 | 50 |
| 1.783 | 28 |
| 1.466 | 11 |

(9)
Theoretical X-ray diffraction stick pattern
Compound: Li5Cd2Ge2
Radiation: Cu Kα (λ = 1.5418 Å)
Structure: a DFT-relaxed cell (PBE, Alexandria)

Structural model:
a = 4.758 Å, b = 9.114 Å, c = 14.434 Å
α = 90.00°, β = 90.00°, γ = 90.00°
Space group Fmmm (No. 69)
Unique sites:
Li1 0.000 0.000 0.000 (multiplicity 4)
Li2 0.000 0.164 0.168 (multiplicity 16)
Cd1 0.000 0.163 0.500 (multiplicity 8)
Ge1 0.000 0.000 0.329 (multiplicity 8)

Largest 8 diffraction maxima, in order of rising 2θ, 15° ≤ 2θ ≤ 90°:
| d/Å | intensity |
| --- | --- |
| 4.049 | 89 |
| 3.853 | 38 |
| 2.521 | 18 |
| 2.406 | 28 |
| 2.381 | 54 |
| 2.260 | 100 |
| 1.691 | 24 |
| 1.359 | 17 |

(10)
Theoretical X-ray diffraction stick pattern
Compound: Pr8SnTe6
Radiation: Cu Kα (λ = 1.5418 Å)
Structure: a DFT-relaxed cell (PBE, Alexandria)

Structural model:
a = 11.4179 Å, b = 11.4179 Å, c = 4.5076 Å
α = 90.00°, β = 90.00°, γ = 120.00°
Space group P-3 (No. 147)
Unique sites:
Pr1 0.0331 0.3035 0.2456 (multiplicity 6)
Pr2 0.3333 0.6667 0.7517 (multiplicity 2)
Sn1 0.0000 0.0000 0.0000 (multiplicity 1)
Te1 0.1248 0.6450 0.2495 (multiplicity 6)

Largest 8 diffraction maxima, in order of rising 2θ, 15° ≤ 2θ ≤ 90°:
| d/Å | intensity |
| --- | --- |
| 3.331 | 33 |
| 3.296 | 35 |
| 2.877 | 100 |
| 2.742 | 39 |
| 2.412 | 42 |
| 2.254 | 19 |
| 2.026 | 24 |
| 1.394 | 19 |

(11)
Theoretical X-ray diffraction stick pattern
Compound: Rb2Ca2PuO6
Radiation: Cu Kα (λ = 1.5418 Å)
Structure: a DFT-relaxed cell (PBE, Alexandria)

Structural model:
a = 6.056 Å, b = 10.285 Å, c = 6.940 Å
α = 90.00°, β = 107.76°, γ = 90.00°
Space group C2/m (No. 12)
Unique sites:
Rb1 0.000 0.173 0.000 (multiplicity 4)
Ca1 0.000 0.336 0.500 (multiplicity 4)
Pu1 0.000 0.000 0.500 (multiplicity 2)
O1 0.203 0.151 0.668 (multiplicity 8)
O2 0.232 0.000 0.331 (multiplicity 4)

Largest 8 diffraction maxima, in order of rising 2θ, 15° ≤ 2θ ≤ 90°:
| d/Å | intensity |
| --- | --- |
| 5.030 | 100 |
| 4.059 | 65 |
| 3.305 | 43 |
| 3.177 | 29 |
| 2.884 | 25 |
| 2.863 | 49 |
| 2.601 | 38 |
| 2.548 | 72 |

(12)
Theoretical X-ray diffraction stick pattern
Compound: CdBi2Pb6
Radiation: Cu Kα (λ = 1.5418 Å)
Structure: a DFT-relaxed cell (PBE, Alexandria)

Structural model:
a = 6.006 Å, b = 9.576 Å, c = 11.679 Å
α = 90.00°, β = 120.66°, γ = 90.00°
Space group P2_1/c (No. 14)
Unique sites:
Cd1 0.000 0.000 0.000 (multiplicity 2)
Bi1 0.198 0.107 0.775 (multiplicity 4)
Pb1 0.029 0.177 0.461 (multiplicity 4)
Pb2 0.354 0.704 0.415 (multiplicity 4)
Pb3 0.398 0.042 0.324 (multiplicity 4)

Largest 8 diffraction maxima, in order of rising 2θ, 15° ≤ 2θ ≤ 90°:
| d/Å | intensity |
| --- | --- |
| 3.466 | 38 |
| 3.003 | 83 |
| 2.931 | 44 |
| 2.819 | 100 |
| 2.792 | 58 |
| 2.756 | 51 |
| 2.744 | 38 |
| 2.714 | 63 |